Structure and simulated X-ray diffraction stick pattern of NaCu3O2 (a structure optimized by DFT (GGA-PBE); Cu Ka).

Largest 12 diffraction maxima, by angle, 2θ from 5° to 70°:
| 2θ (°) | Rel. int. | (hkl) |
| --- | --- | --- |
| 17.77 | 38.2 | 0 2 1 |
| 18.06 | 38.5 | 1 1 1 |
| 23.22 | 29.8 | 0 0 2 |
| 25.24 | 43.8 | 2 1 0 |
| 27.11 | 34.5 | 0 4 0 |
| 27.84 | 39.2 | 2 1 1 |
| 33.38 | 37.6 | 1 3 2 |
| 38.14 | 28.9 | 1 5 1 |
| 39.79 | 100.0 | 2 3 2 |
| 41.15 | 29.2 | 0 6 0 |
| 43.98 | 18.5 | 3 0 2 |
| 49.75 | 42.9 | 4 0 0 |

Structure:
a b c (Å): 7.326 13.160 7.660
angles (deg): 90.00 90.00 90.00
Element x y z (fractional)
Na 0.083 0.080 0.139
Na 0.083 0.420 0.639
Na 0.417 0.580 0.139
Na 0.417 0.920 0.639
Na 0.583 0.080 0.361
Na 0.583 0.420 0.861
Na 0.917 0.580 0.361
Na 0.917 0.920 0.861
Cu 0.112 0.744 0.575
Cu 0.112 0.756 0.075
Cu 0.138 0.108 0.504
Cu 0.138 0.392 0.004
Cu 0.143 0.613 0.825
Cu 0.143 0.887 0.325
Cu 0.357 0.113 0.825
Cu 0.357 0.387 0.325
Cu 0.362 0.608 0.504
Cu 0.362 0.892 0.004
Cu 0.388 0.244 0.575
Cu 0.388 0.256 0.075
Cu 0.612 0.744 0.925
Cu 0.612 0.756 0.425
Cu 0.638 0.108 0.996
Cu 0.638 0.392 0.496
Cu 0.643 0.613 0.675
Cu 0.643 0.887 0.175
Cu 0.857 0.113 0.675
Cu 0.857 0.387 0.175
Cu 0.862 0.608 0.996
Cu 0.862 0.892 0.496
Cu 0.888 0.244 0.925
Cu 0.888 0.256 0.425
O 0.107 0.616 0.070
O 0.107 0.884 0.570
O 0.124 0.601 0.583
O 0.124 0.899 0.083
O 0.376 0.101 0.583
O 0.376 0.399 0.083
O 0.393 0.116 0.070
O 0.393 0.384 0.570
O 0.607 0.616 0.430
O 0.607 0.884 0.930
O 0.624 0.601 0.917
O 0.624 0.899 0.417
O 0.876 0.101 0.917
O 0.876 0.399 0.417
O 0.893 0.116 0.430
O 0.893 0.384 0.930